# B5C7
Computed XRD peak list, copper Kα. Input: DFT lattice parameters and positions (PBE).

Structural model:
```
data_B5C7
_chemical_formula_sum 'B5 C7'
_space_group_name_H-M_alt 'P 1'
_space_group_IT_number 1
_cell_length_a 4.6464
_cell_length_b 4.6655
_cell_length_c 4.6977
_cell_angle_alpha 102.35
_cell_angle_beta 103.29
_cell_angle_gamma 119.68
loop_
_space_group_symop_operation_xyz
'x,y,z'
loop_
_atom_site_label
_atom_site_type_symbol
_atom_site_fract_x
_atom_site_fract_y
_atom_site_fract_z
B1 B 0.0000 0.0000 0.0000
B2 B 0.0501 0.6774 0.0576
B3 B 0.5192 0.1602 0.5232
B4 B 0.6185 0.2699 0.9576
B5 B 0.8336 0.8042 0.4934
C1 C 0.1406 0.7608 0.4449
C2 C 0.1889 0.4928 0.5616
C3 C 0.3225 0.6256 0.9264
C4 C 0.3535 0.3586 0.0557
C5 C 0.4568 0.4491 0.4362
C6 C 0.6735 0.9927 0.0673
C7 C 0.8230 0.1298 0.4337
```

Peak list (8 most intense, 2θ from 10° to 80°, low angle first)
2θ/deg  I_rel
40.5  100
42.9  61
43.1  48
69.6  12
70.0  14
70.1  15
70.3  13
70.4  14



# B5C7
Computed XRD peak list, copper Kα. Input: DFT lattice parameters and positions (PBE).

Structural model:
```
data_B5C7
_chemical_formula_sum 'B10 C14'
_space_group_name_H-M_alt 'C 1 m 1'
_space_group_IT_number 8
_cell_length_a 12.4964
_cell_length_b 2.4769
_cell_length_c 5.1932
_cell_angle_alpha 90.00
_cell_angle_beta 102.07
_cell_angle_gamma 90.00
loop_
_space_group_symop_operation_xyz
'x,y,z'
'x,-y,z'
'x+1/2,y+1/2,z'
'x+1/2,-y+1/2,z'
loop_
_atom_site_label
_atom_site_type_symbol
_atom_site_fract_x
_atom_site_fract_y
_atom_site_fract_z
B1 B 0.0000 0.0000 0.0000
B2 B 0.0012 0.0000 0.4899
B3 B 0.1580 0.5000 0.8214
B4 B 0.3904 0.0000 0.9433
B5 B 0.3943 0.0000 0.4402
C1 C 0.0744 0.0000 0.7835
C2 C 0.0861 0.0000 0.2873
C3 C 0.1568 0.5000 0.3236
C4 C 0.2380 0.5000 0.1254
C5 C 0.2391 0.5000 0.6043
C6 C 0.3056 0.0000 0.1498
C7 C 0.3081 0.0000 0.6451
```

Peak list (8 most intense, 2θ from 10° to 80°, low angle first)
2θ/deg  I_rel
14.5  44
29.2  5
41.2  100
42.7  85
51.3  4
69.9  48
72.9  12
77.0  11



# B5C7
Computed XRD peak list, copper Kα. Input: DFT lattice parameters and positions (PBE).

Structural model:
```
data_B5C7
_chemical_formula_sum 'B5 C7'
_space_group_name_H-M_alt 'P m m 2'
_space_group_IT_number 25
_cell_length_a 2.5795
_cell_length_b 7.8922
_cell_length_c 3.8786
_cell_angle_alpha 90.00
_cell_angle_beta 90.00
_cell_angle_gamma 90.00
loop_
_space_group_symop_operation_xyz
'x,y,z'
'-x,-y,z'
'-x,y,z'
'x,-y,z'
loop_
_atom_site_label
_atom_site_type_symbol
_atom_site_fract_x
_atom_site_fract_y
_atom_site_fract_z
B1 B 0.0000 0.0000 0.0000
B2 B 0.0000 0.3336 0.9975
B3 B 0.5000 0.1654 0.4863
C1 C 0.0000 0.1732 0.7492
C2 C 0.0000 0.5000 0.7259
C3 C 0.5000 0.0000 0.2514
C4 C 0.5000 0.3428 0.2655
C5 C 0.5000 0.5000 0.4962
```

Peak list (8 most intense, 2θ from 10° to 80°, low angle first)
2θ/deg  I_rel
11.2  5
22.9  2
25.6  2
41.5  96
42.1  100
70.5  53
71.8  13
73.4  12



# B3C7
Computed XRD peak list, copper Kα. Input: DFT lattice parameters and positions (PBE).

Structural model:
```
data_B3C7
_chemical_formula_sum 'B3 C7'
_space_group_name_H-M_alt 'P 1'
_space_group_IT_number 1
_cell_length_a 3.6397
_cell_length_b 4.4147
_cell_length_c 4.6183
_cell_angle_alpha 83.93
_cell_angle_beta 67.49
_cell_angle_gamma 67.84
loop_
_space_group_symop_operation_xyz
'x,y,z'
loop_
_atom_site_label
_atom_site_type_symbol
_atom_site_fract_x
_atom_site_fract_y
_atom_site_fract_z
B1 B 0.0000 0.0000 0.0000
B2 B 0.0708 0.1143 0.3836
B3 B 0.8196 0.6267 0.8444
C1 C 0.2203 0.4182 0.2447
C2 C 0.2806 0.5124 0.5390
C3 C 0.4337 0.8021 0.4498
C4 C 0.4668 0.9247 0.7359
C5 C 0.5964 0.2224 0.6564
C6 C 0.6451 0.3258 0.9490
C7 C 0.8735 0.7142 0.1810
```

Peak list (8 most intense, 2θ from 10° to 80°, low angle first)
2θ/deg  I_rel
41.7  100
42.8  58
43.1  45
71.1  12
71.3  12
71.6  14
71.8  14
72.2  14



# BC
Computed XRD peak list, copper Kα. Input: DFT lattice parameters and positions (PBE).

Structural model:
```
data_BC
_chemical_formula_sum 'B6 C6'
_space_group_name_H-M_alt 'P 3 m 1'
_space_group_IT_number 156
_cell_length_a 2.6675
_cell_length_b 2.6675
_cell_length_c 14.9223
_cell_angle_alpha 90.00
_cell_angle_beta 90.00
_cell_angle_gamma 120.00
loop_
_space_group_symop_operation_xyz
'x,y,z'
'-y,x-y,z'
'-x+y,-x,z'
'-y,-x,z'
'-x+y,y,z'
'x,x-y,z'
loop_
_atom_site_label
_atom_site_type_symbol
_atom_site_fract_x
_atom_site_fract_y
_atom_site_fract_z
B1 B 0.0000 0.0000 0.0000
B2 B 0.0000 0.0000 0.2683
B3 B 0.0000 0.0000 0.5840
B4 B 0.3333 0.6667 0.3803
B5 B 0.3333 0.6667 0.8416
B6 B 0.6667 0.3333 0.4498
C1 C 0.0000 0.0000 0.7031
C2 C 0.3333 0.6667 0.2755
C3 C 0.3333 0.6667 0.7294
C4 C 0.6667 0.3333 0.5518
C5 C 0.6667 0.3333 0.8822
C6 C 0.6667 0.3333 0.9873
```

Peak list (8 most intense, 2θ from 10° to 80°, low angle first)
2θ/deg  I_rel
11.9  74
17.8  62
23.9  27
40.9  100
42.4  34
43.2  26
69.8  24
70.6  33



# B5C7
Computed XRD peak list, copper Kα. Input: DFT lattice parameters and positions (PBE).

Structural model:
```
data_B5C7
_chemical_formula_sum 'B10 C14'
_space_group_name_H-M_alt 'C 1 m 1'
_space_group_IT_number 8
_cell_length_a 8.5378
_cell_length_b 2.4848
_cell_length_c 8.2934
_cell_angle_alpha 90.00
_cell_angle_beta 120.07
_cell_angle_gamma 90.00
loop_
_space_group_symop_operation_xyz
'x,y,z'
'x,-y,z'
'x+1/2,y+1/2,z'
'x+1/2,-y+1/2,z'
loop_
_atom_site_label
_atom_site_type_symbol
_atom_site_fract_x
_atom_site_fract_y
_atom_site_fract_z
B1 B 0.0000 0.0000 0.0000
B2 B 0.0534 0.5000 0.3306
B3 B 0.1427 0.5000 0.1644
B4 B 0.2952 0.5000 0.3847
B5 B 0.3670 0.5000 0.1923
C1 C 0.0016 0.0000 0.8095
C2 C 0.0984 0.5000 0.5493
C3 C 0.2013 0.0000 0.6620
C4 C 0.2010 0.0000 0.8546
C5 C 0.2998 0.5000 0.9672
C6 C 0.3999 0.0000 0.6984
C7 C 0.4036 0.0000 0.5155
```

Peak list (8 most intense, 2θ from 10° to 80°, low angle first)
2θ/deg  I_rel
12.3  67
32.9  8
42.3  100
43.7  34
44.1  17
71.3  23
74.7  13
76.7  10



# BC4
Computed XRD peak list, copper Kα. Input: DFT lattice parameters and positions (PBE).

Structural model:
```
data_BC4
_chemical_formula_sum 'B4 C16'
_space_group_name_H-M_alt 'I m m 2'
_space_group_IT_number 44
_cell_length_a 2.5038
_cell_length_b 12.8690
_cell_length_c 3.7814
_cell_angle_alpha 90.00
_cell_angle_beta 90.00
_cell_angle_gamma 90.00
loop_
_space_group_symop_operation_xyz
'x,y,z'
'-x,-y,z'
'-x,y,z'
'x,-y,z'
'x+1/2,y+1/2,z+1/2'
'-x+1/2,-y+1/2,z+1/2'
'-x+1/2,y+1/2,z+1/2'
'x+1/2,-y+1/2,z+1/2'
loop_
_atom_site_label
_atom_site_type_symbol
_atom_site_fract_x
_atom_site_fract_y
_atom_site_fract_z
B1 B 0.0000 0.1007 0.0000
C1 C 0.0000 0.0000 0.2460
C2 C 0.0000 0.2038 0.2464
C3 C 0.0000 0.2990 0.9857
C4 C 0.0000 0.3997 0.2068
C5 C 0.0000 0.5000 0.9814
```

Peak list (8 most intense, 2θ from 10° to 80°, low angle first)
2θ/deg  I_rel
13.8  2
24.5  9
27.7  2
42.5  96
43.3  100
72.6  52
73.6  13
76.0  12



# B3C7
Computed XRD peak list, copper Kα. Input: DFT lattice parameters and positions (PBE).

Structural model:
```
data_B3C7
_chemical_formula_sum 'B6 C14'
_space_group_name_H-M_alt 'C 1 m 1'
_space_group_IT_number 8
_cell_length_a 8.8464
_cell_length_b 2.5131
_cell_length_c 6.4525
_cell_angle_alpha 90.00
_cell_angle_beta 118.42
_cell_angle_gamma 90.00
loop_
_space_group_symop_operation_xyz
'x,y,z'
'x,-y,z'
'x+1/2,y+1/2,z'
'x+1/2,-y+1/2,z'
loop_
_atom_site_label
_atom_site_type_symbol
_atom_site_fract_x
_atom_site_fract_y
_atom_site_fract_z
B1 B 0.0000 0.0000 0.0000
B2 B 0.0882 0.5000 0.3741
B3 B 0.2266 0.0000 0.5723
C1 C 0.0148 0.0000 0.7307
C2 C 0.1148 0.5000 0.1440
C3 C 0.2079 0.0000 0.8165
C4 C 0.2998 0.5000 0.2012
C5 C 0.3010 0.5000 0.9495
C6 C 0.3971 0.0000 0.3391
C7 C 0.4199 0.0000 0.6033
```

Peak list (8 most intense, 2θ from 10° to 80°, low angle first)
2θ/deg  I_rel
20.6  17
41.3  47
42.0  62
43.1  100
71.3  27
71.5  13
72.3  26
75.7  13



# BC4
Computed XRD peak list, copper Kα. Input: DFT lattice parameters and positions (PBE).

Structural model:
```
data_BC4
_chemical_formula_sum 'B4 C16'
_space_group_name_H-M_alt 'I -4 m 2'
_space_group_IT_number 119
_space_group_name_Hall 'I -4 -2'
_cell_length_a 2.5156
_cell_length_b 2.5156
_cell_length_c 19.2467
_cell_angle_alpha 90.00
_cell_angle_beta 90.00
_cell_angle_gamma 90.00
loop_
_atom_site_label
_atom_site_type_symbol
_atom_site_fract_x
_atom_site_fract_y
_atom_site_fract_z
B1 B 0.0000 0.0000 0.1962
C1 C 0.0000 0.0000 0.0000
C2 C 0.0000 0.0000 0.4059
C3 C 0.0000 0.5000 0.1388
C4 C 0.0000 0.5000 0.5463
C5 C 0.0000 0.5000 0.7500
```

Peak list (8 most intense, 2θ from 10° to 80°, low angle first)
2θ/deg  I_rel
27.8  1
38.4  1
42.9  100
49.1  3
65.2  1
72.3  25
74.3  1
75.6  13



# B5C7
Computed XRD peak list, copper Kα. Input: DFT lattice parameters and positions (PBE).

Structural model:
```
data_B5C7
_chemical_formula_sum 'B5 C7'
_space_group_name_H-M_alt 'P 1'
_space_group_IT_number 1
_cell_length_a 3.5395
_cell_length_b 4.5008
_cell_length_c 5.3472
_cell_angle_alpha 100.33
_cell_angle_beta 90.87
_cell_angle_gamma 112.16
loop_
_space_group_symop_operation_xyz
'x,y,z'
loop_
_atom_site_label
_atom_site_type_symbol
_atom_site_fract_x
_atom_site_fract_y
_atom_site_fract_z
B1 B 0.0000 0.0000 0.0000
B2 B 0.0533 0.0567 0.4931
B3 B 0.5418 0.6171 0.4293
B4 B 0.6601 0.2526 0.3091
B5 B 0.9301 0.4205 0.5983
C1 C 0.2256 0.9455 0.2352
C2 C 0.2860 0.0440 0.7504
C3 C 0.3172 0.6358 0.1616
C4 C 0.3731 0.7331 0.6949
C5 C 0.5753 0.6715 0.9232
C6 C 0.6723 0.3652 0.8500
C7 C 0.9148 0.3303 0.0690
```

Peak list (8 most intense, 2θ from 10° to 80°, low angle first)
2θ/deg  I_rel
16.9  21
41.6  59
42.2  100
43.0  49
70.6  13
70.7  14
71.1  16
74.5  11



# CaB2C2
Computed XRD peak list, copper Kα. Input: DFT lattice parameters and positions (PBE).

Structural model:
```
data_CaB2C2
_chemical_formula_sum 'Ca4 B8 C8'
_space_group_name_H-M_alt 'I 4/m c m'
_space_group_IT_number 140
_space_group_name_Hall '-I 4 2c'
_cell_length_a 5.3665
_cell_length_b 5.3665
_cell_length_c 7.4376
_cell_angle_alpha 90.00
_cell_angle_beta 90.00
_cell_angle_gamma 90.00
loop_
_atom_site_label
_atom_site_type_symbol
_atom_site_fract_x
_atom_site_fract_y
_atom_site_fract_z
Ca1 Ca 0.0000 0.0000 0.2500
B1 B 0.1390 0.3610 0.0000
C1 C 0.1593 0.3407 0.5000
```

Peak list (8 most intense, 2θ from 10° to 80°, low angle first)
2θ/deg  I_rel
23.4  34
33.4  16
33.7  100
41.5  50
47.9  12
49.0  15
54.0  27
75.9  17



# Ca5BC4Cl3
Computed XRD peak list, copper Kα. Input: DFT lattice parameters and positions (PBE).

Structural model:
```
data_Ca5BC4Cl3
_chemical_formula_sum 'Ca20 B4 C16 Cl12'
_space_group_name_H-M_alt 'C m c m'
_space_group_IT_number 63
_space_group_name_Hall '-C 2c 2'
_cell_length_a 3.8707
_cell_length_b 14.0253
_cell_length_c 18.8411
_cell_angle_alpha 90.00
_cell_angle_beta 90.00
_cell_angle_gamma 90.00
loop_
_atom_site_label
_atom_site_type_symbol
_atom_site_fract_x
_atom_site_fract_y
_atom_site_fract_z
Ca1 Ca 0.0000 0.0517 0.1412
Ca2 Ca 0.0000 0.1579 0.7500
Ca3 Ca 0.0000 0.3607 0.0645
B1 B 0.0000 0.4633 0.2500
C1 C 0.0000 0.0401 0.5149
C2 C 0.0000 0.4473 0.1739
Cl1 Cl 0.0000 0.1907 0.2500
Cl2 Cl 0.0000 0.2887 0.5849
```

Peak list (8 most intense, 2θ from 10° to 80°, low angle first)
2θ/deg  I_rel
26.9  40
30.4  36
31.2  61
31.5  100
33.3  56
35.6  48
45.5  35
46.9  34